Structure and computed X-ray diffraction stick pattern of Pm2DyCd2Hg2 (the PBE geometry in Alexandria; Cu Kα X-rays).

Largest 10 diffraction maxima, in order of falling intensity, 2θ from 10° to 90°:
| d_spacing | I/Imax |
| --- | --- |
| 2.475 | 100 |
| 2.647 | 80 |
| 2.863 | 31 |
| 1.453 | 26 |
| 1.808 | 26 |
| 1.460 | 25 |
| 1.429 | 18 |
| 3.616 | 17 |
| 3.354 | 13 |
| 4.487 | 12 |

Crystal structure
```
7
Lattice="2.4750 1.4289 8.9731 -2.4750 1.4289 8.9731 0.0000 -2.8579 8.9731" Properties=species:S:1:pos:R:3 pbc="T T T"
Pm 0.0000 0.0000 3.3672
Pm 0.0000 0.0000 23.5521
Dy 0.0000 0.0000 0.0000
Cd 0.0000 0.0000 7.0452
Cd 0.0000 0.0000 19.8741
Hg 0.0000 0.0000 10.5958
Hg 0.0000 0.0000 16.3235
```

---

Structure and computed X-ray diffraction stick pattern of Ta2Nb6Mo3 (the PBE geometry in Alexandria; Cu Kα X-rays).

Largest 10 diffraction maxima, in order of falling intensity, 2θ from 10° to 90°:
| d_spacing | I/Imax |
| --- | --- |
| 2.430 | 100 |
| 2.225 | 53 |
| 2.381 | 48 |
| 2.282 | 24 |
| 1.167 | 19 |
| 1.647 | 17 |
| 1.384 | 17 |
| 1.993 | 13 |
| 2.322 | 13 |
| 1.348 | 12 |

Crystal structure
```
11
Lattice="-1.3301 2.3807 15.5418 1.3301 -2.3807 15.5418 1.3301 2.3807 -15.5418" Properties=species:S:1:pos:R:3 pbc="T T T"
Ta 0.0000 0.0000 1.3782
Ta 0.0000 0.0000 29.7054
Nb 1.3301 0.0000 4.1917
Nb 0.0000 0.0000 6.9902
Nb 1.3301 0.0000 12.6593
Nb 0.0000 2.3807 2.8825
Nb 0.0000 0.0000 24.0934
Nb 0.0000 2.3807 11.3501
Mo 0.0000 0.0000 9.8267
Mo 0.0000 0.0000 15.5418
Mo 0.0000 0.0000 21.2569
```

---

Structure and computed X-ray diffraction stick pattern of Mg5TaIr6 (the PBE geometry in Alexandria; Cu Kα X-rays).

Largest 10 diffraction maxima, in order of falling intensity, 2θ from 10° to 90°:
| d_spacing | I/Imax |
| --- | --- |
| 2.216 | 100 |
| 3.122 | 42 |
| 2.211 | 25 |
| 2.205 | 25 |
| 3.146 | 21 |
| 1.281 | 17 |
| 1.277 | 17 |
| 1.275 | 17 |
| 1.561 | 17 |
| 1.108 | 11 |

Crystal structure
```
12
Lattice="6.9716 -3.1459 0.0000 6.9716 3.1459 0.0000 -1.3979 0.0000 4.1948" Properties=species:S:1:pos:R:3 pbc="T T T"
Mg 0.0000 0.0000 0.0000
Mg 1.4023 0.0000 2.8001
Mg 4.1363 0.0000 1.3831
Mg 8.4090 0.0000 2.8117
Mg 11.1430 0.0000 1.3947
Ta 6.9716 0.0000 0.0000
Ir 3.5221 1.5577 3.5085
Ir 6.2727 1.5454 2.0974
Ir 9.0233 1.5577 0.6864
Ir 3.5221 -1.5577 3.5085
Ir 6.2727 -1.5454 2.0974
Ir 9.0233 -1.5577 0.6864
```

---

Structure and computed X-ray diffraction stick pattern of BP5Pb6O20 (the PBE geometry in Alexandria; Cu Kα X-rays).

Largest 10 diffraction maxima, in order of falling intensity, 2θ from 10° to 90°:
| d_spacing | I/Imax |
| --- | --- |
| 4.472 | 100 |
| 2.890 | 76 |
| 3.330 | 66 |
| 3.012 | 59 |
| 3.356 | 53 |
| 3.544 | 35 |
| 1.968 | 25 |
| 2.247 | 23 |
| 2.003 | 22 |
| 2.232 | 20 |

Crystal structure
```
32
Lattice="7.0583 0.0000 0.0000 0.0000 7.0583 0.0000 0.0000 0.0000 10.0680" Properties=species:S:1:pos:R:3 pbc="T T T"
B 0.0000 0.0000 0.0000
P 1.1648 5.4247 1.9915
P 1.6336 1.1648 8.0765
P 3.5291 3.5291 5.0340
P 5.4247 5.8935 8.0765
P 5.8935 1.6336 1.9915
Pb 0.0000 3.5291 4.8408
Pb 1.9027 4.6863 8.2139
Pb 2.3720 1.9027 1.8540
Pb 3.5291 0.0000 5.2271
Pb 4.6863 5.1556 1.8540
Pb 5.1556 2.3720 8.2139
O 0.1441 4.9836 3.0642
O 0.1675 5.8396 0.8015
O 0.4921 2.0687 7.6005
O 1.2186 0.1675 9.2665
O 2.0542 4.2977 1.4135
O 2.0687 6.5662 2.4675
O 2.0746 0.1441 7.0038
O 2.5193 2.6965 4.1781
O 2.6965 4.5390 5.8899
O 2.7606 2.0542 8.6545
O 4.2977 5.0041 8.6545
O 4.3617 2.5193 5.8899
O 4.5390 4.3617 4.1781
O 4.9836 6.9142 7.0038
O 4.9895 0.4921 2.4675
O 5.0041 2.7606 1.4135
O 5.8396 6.8907 9.2665
O 6.5662 4.9895 7.6005
O 6.8907 1.2186 0.8015
O 6.9142 2.0746 3.0642
```

---

Structure and computed X-ray diffraction stick pattern of Re2NiMo2S8 (the PBE geometry in Alexandria; Cu Kα X-rays).

Largest 10 diffraction maxima, in order of falling intensity, 2θ from 10° to 90°:
| d_spacing | I/Imax |
| --- | --- |
| 5.600 | 100 |
| 2.900 | 79 |
| 2.415 | 51 |
| 4.819 | 40 |
| 1.703 | 40 |
| 1.852 | 34 |
| 1.865 | 33 |
| 5.536 | 27 |
| 2.403 | 25 |
| 1.959 | 23 |

Crystal structure
```
13
Lattice="-3.3856 3.4452 4.8062 3.3856 -3.4452 4.8062 3.3856 3.4452 -4.8062" Properties=species:S:1:pos:R:3 pbc="T T T"
Re 1.4089 0.0000 0.0000
Re 5.3623 0.0000 0.0000
Ni 0.0000 0.0000 3.8155
Mo 3.3856 2.0210 2.8105
Mo 0.0000 1.4242 7.6167
S 3.3856 1.5583 0.2464
S 1.7935 0.0000 2.4943
S 4.9776 0.0000 2.4943
S 0.0000 1.8413 0.3120
S -1.5453 3.4452 2.5045
S 1.5453 3.4452 2.5045
S 0.0000 5.0491 0.3120
S 0.0000 1.8869 5.0526
```

---

Structure and computed X-ray diffraction stick pattern of CsVAuCl6 (the PBE geometry in Alexandria; Cu Kα X-rays).

Largest 10 diffraction maxima, in order of falling intensity, 2θ from 10° to 90°:
| d_spacing | I/Imax |
| --- | --- |
| 5.013 | 100 |
| 4.128 | 88 |
| 4.388 | 65 |
| 3.127 | 61 |
| 6.032 | 47 |
| 2.760 | 45 |
| 3.894 | 37 |
| 2.990 | 34 |
| 3.510 | 33 |
| 3.949 | 33 |

Crystal structure
```
9
Lattice="6.3687 0.0000 0.0000 -1.8908 6.9388 0.0000 -0.7509 -2.2711 6.8055" Properties=species:S:1:pos:R:3 pbc="T T T"
Cs 0.0000 0.0000 0.0000
V 1.8542 3.2032 2.5883
Au 2.8944 -0.1922 4.5104
Cl 0.3096 1.7043 3.1553
Cl 0.6457 4.3214 1.0812
Cl 0.6578 4.4770 4.5994
Cl 2.9067 1.9503 1.0583
Cl 3.2767 2.0721 4.4350
Cl 3.4348 4.7765 2.8646
```

---

Structure and computed X-ray diffraction stick pattern of Na2BiF8 (the PBE geometry in Alexandria; Cu Kα X-rays).

Largest 10 diffraction maxima, in order of falling intensity, 2θ from 10° to 90°:
| d_spacing | I/Imax |
| --- | --- |
| 4.959 | 100 |
| 3.167 | 43 |
| 1.914 | 24 |
| 2.450 | 23 |
| 2.960 | 19 |
| 2.041 | 19 |
| 5.217 | 15 |
| 3.985 | 15 |
| 1.687 | 14 |
| 1.993 | 13 |

Crystal structure
```
11
Lattice="-2.8181 2.8181 5.2167 2.8181 -2.8181 5.2167 2.8181 2.8181 -5.2167" Properties=species:S:1:pos:R:3 pbc="T T T"
Na 2.8181 0.0000 2.6084
Na 0.0000 2.8181 2.6084
Bi 0.0000 0.0000 0.0000
F 1.2462 1.2462 -1.2374
F 1.5719 -1.5719 3.9793
F 1.2462 1.2462 1.2374
F 1.5719 -1.5719 6.4541
F -1.5719 1.5719 3.9793
F 1.5719 1.5719 3.9793
F -1.5719 1.5719 6.4541
F 1.5719 1.5719 6.4541
```

---

Structure and computed X-ray diffraction stick pattern of Sm7Er2Th2 (the PBE geometry in Alexandria; Cu Kα X-rays).

Largest 10 diffraction maxima, in order of falling intensity, 2θ from 10° to 90°:
| d_spacing | I/Imax |
| --- | --- |
| 2.836 | 100 |
| 2.885 | 43 |
| 2.651 | 43 |
| 2.857 | 39 |
| 2.665 | 37 |
| 2.897 | 30 |
| 2.030 | 19 |
| 3.519 | 18 |
| 1.828 | 18 |
| 2.986 | 15 |

Crystal structure
```
11
Lattice="5.7366 -5.7693 0.0000 5.7366 5.7693 0.0000 -2.3377 0.0000 5.5698" Properties=species:S:1:pos:R:3 pbc="T T T"
Sm 0.0000 0.0000 0.0000
Sm 1.7451 3.1197 4.6049
Sm 7.3904 3.1197 0.9648
Sm 4.3848 0.0000 1.1120
Sm 4.7506 0.0000 4.4577
Sm 1.7451 -3.1197 4.6049
Sm 7.3904 -3.1197 0.9648
Er 1.2368 0.0000 3.3045
Er 7.8986 0.0000 2.2652
Th 4.5677 3.3176 2.7849
Th 4.5677 -3.3176 2.7849
```

---

Structure and computed X-ray diffraction stick pattern of AlVPd (the PBE geometry in Alexandria; Cu Kα X-rays).

Largest 10 diffraction maxima, in order of falling intensity, 2θ from 10° to 90°:
| d_spacing | I/Imax |
| --- | --- |
| 2.133 | 100 |
| 2.110 | 98 |
| 3.585 | 64 |
| 6.128 | 32 |
| 1.500 | 31 |
| 1.223 | 31 |
| 2.861 | 26 |
| 1.738 | 18 |
| 3.064 | 16 |
| 1.218 | 15 |

Crystal structure
```
6
Lattice="2.1103 1.2184 6.1280 -2.1103 1.2184 6.1280 0.0000 -2.4367 6.1280" Properties=species:S:1:pos:R:3 pbc="T T T"
Al 0.0000 0.0000 3.8676
Al 0.0000 0.0000 14.5166
V 0.0000 0.0000 6.6105
V 0.0000 0.0000 11.7736
Pd 0.0000 0.0000 1.3518
Pd 0.0000 0.0000 17.0324
```

---

Structure and computed X-ray diffraction stick pattern of Ho2CuCl (the PBE geometry in Alexandria; Cu Kα X-rays).

Largest 10 diffraction maxima, in order of falling intensity, 2θ from 10° to 90°:
| d_spacing | I/Imax |
| --- | --- |
| 2.853 | 100 |
| 3.243 | 36 |
| 1.971 | 35 |
| 2.066 | 35 |
| 1.622 | 18 |
| 1.252 | 15 |
| 1.300 | 12 |
| 3.461 | 12 |
| 1.713 | 11 |
| 6.921 | 11 |

Crystal structure
```
12
Lattice="3.9426 0.0000 0.0000 -1.9713 3.4144 0.0000 0.0000 0.0000 20.7637" Properties=species:S:1:pos:R:3 pbc="T T T"
Ho 0.0000 0.0000 5.0075
Ho 0.0000 0.0000 15.7561
Ho 0.0000 2.2762 8.8349
Ho 0.0000 2.2762 18.8499
Ho 1.9713 1.1381 1.9137
Ho 1.9713 1.1381 11.9287
Cu 0.0000 0.0000 10.3818
Cu 0.0000 2.2762 3.4606
Cu 1.9713 1.1381 17.3030
Cl 0.0000 0.0000 0.0000
Cl 0.0000 2.2762 13.8424
Cl 1.9713 1.1381 6.9212
```

---

Structure and computed X-ray diffraction stick pattern of Ti5In2Fe2Rh (the PBE geometry in Alexandria; Cu Kα X-rays).

Largest 10 diffraction maxima, in order of falling intensity, 2θ from 10° to 90°:
| d_spacing | I/Imax |
| --- | --- |
| 2.224 | 100 |
| 2.528 | 64 |
| 2.331 | 45 |
| 3.295 | 29 |
| 2.086 | 21 |
| 2.456 | 19 |
| 1.293 | 13 |
| 1.505 | 13 |
| 1.432 | 12 |
| 3.684 | 11 |

Crystal structure
```
20
Lattice="10.4195 0.0000 0.0000 0.0000 10.4195 0.0000 0.0000 0.0000 3.0146" Properties=species:S:1:pos:R:3 pbc="T T T"
Ti 0.0000 5.2097 0.0000
Ti 0.7032 2.1029 0.0000
Ti 2.1029 9.7163 0.0000
Ti 3.1069 4.5065 0.0000
Ti 4.5065 7.3126 0.0000
Ti 5.2097 0.0000 0.0000
Ti 5.9129 3.1069 0.0000
Ti 7.3126 5.9129 0.0000
Ti 8.3166 0.7032 0.0000
Ti 9.7163 8.3166 0.0000
In 1.8132 7.0229 1.5073
In 3.3965 1.8132 1.5073
In 7.0229 8.6063 1.5073
In 8.6063 3.3965 1.5073
Fe 1.3712 3.8385 1.5073
Fe 3.8385 9.0483 1.5073
Fe 6.5809 1.3712 1.5073
Fe 9.0483 6.5809 1.5073
Rh 0.0000 0.0000 1.5073
Rh 5.2097 5.2097 1.5073
```

---

Structure and computed X-ray diffraction stick pattern of YHoTlGe (the PBE geometry in Alexandria; Cu Kα X-rays).

Largest 10 diffraction maxima, in order of falling intensity, 2θ from 10° to 90°:
| d_spacing | I/Imax |
| --- | --- |
| 2.609 | 100 |
| 1.506 | 37 |
| 1.845 | 18 |
| 4.260 | 17 |
| 1.167 | 16 |
| 1.304 | 11 |
| 2.225 | 9 |
| 1.693 | 4 |
| 1.420 | 3 |
| 1.247 | 3 |

Crystal structure
```
16
Lattice="7.3791 0.0000 0.0000 0.0000 7.3791 0.0000 0.0000 0.0000 7.3791" Properties=species:S:1:pos:R:3 pbc="T T T"
Y 0.0000 0.0000 0.0000
Y 0.0000 3.6895 3.6895
Y 3.6895 0.0000 3.6895
Y 3.6895 3.6895 0.0000
Ho 0.0000 0.0000 3.6895
Ho 0.0000 3.6895 0.0000
Ho 3.6895 0.0000 0.0000
Ho 3.6895 3.6895 3.6895
Tl 1.8448 1.8448 1.8448
Tl 1.8448 5.5343 5.5343
Tl 5.5343 1.8448 5.5343
Tl 5.5343 5.5343 1.8448
Ge 1.8448 1.8448 5.5343
Ge 1.8448 5.5343 1.8448
Ge 5.5343 1.8448 1.8448
Ge 5.5343 5.5343 5.5343
```

---

Structure and computed X-ray diffraction stick pattern of La2TbPr6Mg (the PBE geometry in Alexandria; Cu Kα X-rays).

Largest 10 diffraction maxima, in order of falling intensity, 2θ from 10° to 90°:
| d_spacing | I/Imax |
| --- | --- |
| 3.050 | 100 |
| 2.873 | 63 |
| 2.844 | 57 |
| 2.895 | 52 |
| 3.004 | 51 |
| 2.948 | 36 |
| 3.378 | 31 |
| 2.612 | 29 |
| 3.268 | 24 |
| 2.701 | 20 |

Crystal structure
```
20
Lattice="5.3359 -6.9360 0.0000 5.3359 6.9360 0.0000 -1.6191 0.0000 9.4713" Properties=species:S:1:pos:R:3 pbc="T T T"
La 2.3483 0.4334 0.8681
La 1.5388 -0.4334 5.6037
La 7.5140 0.4334 3.8676
La 6.7044 -0.4334 8.6032
Tb 4.9312 5.9822 2.3678
Tb 4.1216 -5.9822 7.1035
Pr 1.3195 2.9960 7.8114
Pr 3.4358 4.5765 5.4557
Pr 4.8074 4.5765 8.7512
Pr 4.1467 1.6650 3.8371
Pr 5.7156 1.6650 0.8985
Pr 2.1291 -2.9960 3.0757
Pr 6.9237 2.9960 6.3956
Pr 3.3371 -1.6650 8.5728
Pr 4.9060 -1.6650 5.6341
Pr 4.2453 -4.5765 0.7201
Pr 5.6170 -4.5765 4.0156
Pr 7.7332 -2.9960 1.6599
Mg 4.1216 1.3824 7.1035
Mg 4.9312 -1.3824 2.3678
```